# Ga2Ag2Cl7
Simulated powder X-ray diffraction pattern, Cu Kα. Input: a crystal structure in Alexandria, relaxed with PBE.
Peak positions follow from Bragg's law for the DFT cell and can differ from measured ones.

Top 8 peaks for 10° ≤ 2θ ≤ 90°, in order of rising 2θ:
d [Å]	2θ/deg	Rel. int.
4.562	19.5	77
4.095	21.7	44
4.076	21.8	100
3.367	26.5	15
3.114	28.7	22
2.721	32.9	44
2.136	42.3	32
1.809	50.4	22

Atomic structure:
Lattice parameters (Å, degrees): 7.3296 7.3296 6.6264 104.22 104.22 95.62
Element x y z (fractional)
Ga  0.2116  0.2116  0.4042
Ga  0.7884  0.7884  0.5958
Ag  0.3051  0.6949  0.0000
Ag  0.6949  0.3051  0.0000
Cl  0.0000  0.0000  0.5000
Cl  0.0591  0.3960  0.2094
Cl  0.3960  0.0591  0.2094
Cl  0.4146  0.4146  0.7206
Cl  0.5854  0.5854  0.2794
Cl  0.6040  0.9409  0.7906
Cl  0.9409  0.6040  0.7906